Record 1
Diffraction record for CaCu2Os. The XRD peak list is calculated, not measured: it uses DFT lattice parameters and positions (PBE) and CuKα.
Intensities are scaled so that the largest is 100.

Largest 6 diffraction maxima, sorted by position, 10 to 90 degrees two-theta:
hkl	2θ/deg	I/Imax
0 0 1	17.2	58
0 1 0	19.9	38
1 1 0	39.0	31
1 1 -1	40.2	58
0 2 0	40.5	100
1 0 1	40.6	26

Cell and atoms:
Cell lengths 2.7445, 4.4586, 5.2395 Å; angles 90.00, 100.78, 90.00 degrees
Space group Pm (No. 6)
Asymmetric unit:
Ca  0.0000  0.0000  0.0000
Cu  0.5887  0.5000  0.2247
Cu  0.6352  0.0000  0.5033
Os  0.2580  0.5000  0.6497

=====

Record 2
Diffraction record for Tb3Pm2Y8. The XRD peak list is calculated, not measured: it uses DFT lattice parameters and positions (PBE) and CuKα.
Intensities are scaled so that the largest is 100.

Largest 6 diffraction maxima, sorted by position, 10 to 90 degrees two-theta:
hkl	2θ/deg	I/Imax
1 2 0	11.4	36
2 1 1	29.9	80
1 7 0	31.1	43
3 5 0	31.3	70
1 4 1	31.6	100
3 1 1	34.5	73

Cell and atoms:
Cell lengths 11.7863, 20.7652, 3.5245 Å; angles 90.00, 90.00, 90.00 degrees
Space group Pbam (No. 55)
Asymmetric unit:
Tb  0.0000  0.0000  0.0000
Tb  0.1457  0.2990  0.0000
Pm  0.1792  0.9017  0.5000
Y  0.0453  0.4283  0.5000
Y  0.0545  0.1586  0.0000
Y  0.1288  0.7136  0.5000
Y  0.2083  0.5527  0.0000

=====

Record 3
Diffraction record for CeBeGeH. The XRD peak list is calculated, not measured: it uses DFT lattice parameters and positions (PBE) and CuKα.
Intensities are scaled so that the largest is 100.

Largest 6 diffraction maxima, sorted by position, 10 to 90 degrees two-theta:
hkl	2θ/deg	I/Imax
1 0 0	25.7	35
0 1 1	33.5	100
1 1 0	45.4	29
2 0 1	57.5	21
1 1 2	64.2	20
1 2 1	76.2	18

Cell and atoms:
Cell lengths 3.9984, 3.9984, 4.2172 Å; angles 90.00, 90.00, 120.00 degrees
Space group P3m1 (No. 156)
Asymmetric unit:
Ce  0.0000  0.0000  0.0000
Be  0.6667  0.3333  0.5310
Ge  0.3333  0.6667  0.4741
H  0.6667  0.3333  0.8968

=====

Record 4
Diffraction record for Br. The XRD peak list is calculated, not measured: it uses DFT lattice parameters and positions (PBE) and CuKα.
Intensities are scaled so that the largest is 100.

Largest 6 diffraction maxima, sorted by position, 10 to 90 degrees two-theta:
hkl	2θ/deg	I/Imax
2 2 0	20.0	34
1 0 1	20.6	100
1 2 1	25.1	74
2 4 0	31.9	43
3 4 1	41.0	69
7 1 0	51.5	37

Cell and atoms:
Cell lengths 12.5401, 12.5401, 4.5880 Å; angles 90.00, 90.00, 90.00 degrees
Space group I4/m (No. 87)
Asymmetric unit:
Br  0.0549  0.7164  0.0000
Br  0.1177  0.1772  0.0000

=====

Record 5
Diffraction record for Ho8Sb2C3. The XRD peak list is calculated, not measured: it uses DFT lattice parameters and positions (PBE) and CuKα.
Intensities are scaled so that the largest is 100.

Largest 6 diffraction maxima, sorted by position, 10 to 90 degrees two-theta:
hkl	2θ/deg	I/Imax
0 2 1	28.7	71
4 0 -2	32.7	53
2 2 1	33.0	91
2 0 2	35.1	56
4 2 -1	35.3	100
2 2 -3	49.9	47

Cell and atoms:
Cell lengths 14.9973, 7.2291, 6.3591 Å; angles 90.00, 106.42, 90.00 degrees
Space group C2/m (No. 12)
Asymmetric unit:
Ho  0.0916  0.0000  0.3963
Ho  0.0916  0.2401  0.8888
Ho  0.0935  0.5000  0.4128
Sb  0.2463  0.5000  0.1785
C  0.0000  0.0000  0.0000
C  0.0000  0.2527  0.5000